KCrS2O8: computed X-ray powder pattern (λ = 1.5418 Å (Cu Kα)), based on a GGA+U-relaxed structure.
Intensities are scaled so that the largest is 100.

Structural model:
```
data_KCrS2O8
_chemical_formula_sum 'K1 Cr1 S2 O8'
_space_group_name_H-M_alt 'P 3 2 1'
_space_group_IT_number 150
_space_group_name_Hall 'P 3 2"'
_cell_length_a 5.0785
_cell_length_b 5.0785
_cell_length_c 7.9782
_cell_angle_alpha 90.00
_cell_angle_beta 90.00
_cell_angle_gamma 120.00
loop_
_atom_site_label
_atom_site_fract_x
_atom_site_fract_y
_atom_site_fract_z
_atom_site_occupancy
K1 0.0000 0.0000 0.0000 1
Cr1 0.0000 0.0000 0.5000 1
S1 0.3333 0.6667 0.2806 1
O1 0.1295 0.7787 0.3421 1
O2 0.3333 0.6667 0.0980 1
```

Principal peaks in the range 5 to 70 degrees two-theta, sorted by position:
- 11.09°, intensity 25, (0 0 1)
- 20.19°, intensity 17, (1 0 0)
- 23.09°, intensity 100, (1 0 1)
- 30.25°, intensity 61, (1 0 2)
- 35.35°, intensity 37, (1 1 0)
- 47.20°, intensity 26, (2 0 2)
- 50.23°, intensity 11, (0 1 4)
- 56.55°, intensity 10, (2 1 1)
- 58.88°, intensity 11, (1 1 4)
- 60.32°, intensity 13, (2 1 2)